Record 1
Diffraction record for AcNdEr2. The powder X-ray diffraction pattern is simulated, not measured: it uses a DFT-relaxed cell (GGA-PBE, Alexandria) and Cu Kα (λ = 1.5418 Å).

Crystal structure
```
data_AcNdEr2
_chemical_formula_sum 'Ac3 Nd3 Er6'
_cell_length_a 3.7032
_cell_length_b 3.7032
_cell_length_c 35.1328
_cell_angle_alpha 90.00
_cell_angle_beta 90.00
_cell_angle_gamma 120.00
_space_group_name_H-M_alt 'R -3 m'
_space_group_IT_number 166
_space_group_name_Hall '-R 3 2"'
loop_
_atom_site_label
_atom_site_type_symbol
_atom_site_fract_x
_atom_site_fract_y
_atom_site_fract_z
Ac1 Ac 0.0000 0.0000 0.0000
Nd1 Nd 0.0000 0.0000 0.5000
Er1 Er 0.0000 0.0000 0.2480
```

Top 10 peaks for 2θ from 5° to 70°, in order of rising 2θ:
- 7.55°, d 11.711, I = 5
- 29.65°, d 3.013, I = 100
- 30.53°, d 2.928, I = 31
- 34.63°, d 2.590, I = 66
- 49.21°, d 1.852, I = 25
- 50.36°, d 1.812, I = 23
- 58.51°, d 1.577, I = 15
- 59.03°, d 1.565, I = 29
- 60.05°, d 1.541, I = 13
- 61.57°, d 1.506, I = 13

=====

Record 2
Diffraction record for CeMgSi2Ir2. The powder X-ray diffraction pattern is simulated, not measured: it uses a DFT-relaxed cell (GGA-PBE, Alexandria) and Cu Kα (λ = 1.5418 Å).

Crystal structure
```
data_CeMgSi2Ir2
_chemical_formula_sum 'Ce1 Mg1 Si2 Ir2'
_cell_length_a 4.2450
_cell_length_b 4.2450
_cell_length_c 6.7654
_cell_angle_alpha 90.00
_cell_angle_beta 90.00
_cell_angle_gamma 120.00
_space_group_name_H-M_alt 'P -3 m 1'
_space_group_IT_number 164
_space_group_name_Hall '-P 3 2"'
loop_
_atom_site_label
_atom_site_type_symbol
_atom_site_fract_x
_atom_site_fract_y
_atom_site_fract_z
Ce1 Ce 0.0000 0.0000 0.0000
Mg1 Mg 0.0000 0.0000 0.5000
Si1 Si 0.3333 0.6667 0.3045
Ir1 Ir 0.3333 0.6667 0.7081
```

Top 10 peaks for 2θ from 5° to 70°, in order of rising 2θ:
- 27.62°, d 3.230, I = 100
- 36.08°, d 2.489, I = 69
- 39.98°, d 2.255, I = 11
- 42.60°, d 2.123, I = 56
- 47.29°, d 1.922, I = 10
- 50.78°, d 1.798, I = 8
- 51.52°, d 1.774, I = 19
- 57.02°, d 1.615, I = 19
- 59.84°, d 1.546, I = 21
- 69.00°, d 1.361, I = 16

=====

Record 3
Diffraction record for Tm3MgHg3. The powder X-ray diffraction pattern is simulated, not measured: it uses a DFT-relaxed cell (GGA-PBE, Alexandria) and Cu Kα (λ = 1.5418 Å).

Crystal structure
```
data_Tm3MgHg3
_chemical_formula_sum 'Tm6 Mg2 Hg6'
_cell_length_a 8.8282
_cell_length_b 8.8282
_cell_length_c 5.3925
_cell_angle_alpha 90.00
_cell_angle_beta 90.00
_cell_angle_gamma 120.00
_space_group_name_H-M_alt 'P 63/m'
_space_group_IT_number 176
_space_group_name_Hall '-P 6c'
loop_
_atom_site_label
_atom_site_type_symbol
_atom_site_fract_x
_atom_site_fract_y
_atom_site_fract_z
Tm1 Tm 0.0982 0.6507 0.2500
Mg1 Mg 0.3333 0.6667 0.7500
Hg1 Hg 0.0494 0.7809 0.7500
```

Top 10 peaks for 2θ from 5° to 70°, in order of rising 2θ:
- 20.12°, d 4.413, I = 22
- 30.95°, d 2.890, I = 29
- 33.23°, d 2.696, I = 29
- 35.24°, d 2.547, I = 100
- 39.14°, d 2.301, I = 8
- 46.04°, d 1.971, I = 20
- 55.06°, d 1.668, I = 23
- 60.67°, d 1.526, I = 21
- 65.83°, d 1.419, I = 16
- 67.06°, d 1.396, I = 11